[1]
Starting from the PBE geometry in Alexandria, the X-ray diffraction stick pattern of NaYbGeO4 was computed for λ = 1.5418 Å (Cu Kα).

Most intense lines, 5° ≤ 2θ ≤ 70°, low angle first:
d (Å)  I_rel
5.748  39
3.883  85
3.250  42
2.808  100
1.942  27
1.778  27

Cell and atoms:
a = 11.496 Å, b = 6.500 Å, c = 5.339 Å
α = 90.00°, β = 90.00°, γ = 90.00°
Positions (direct):
Na1 0.000 0.000 0.000
Na2 0.000 0.500 0.000
Na3 0.500 0.000 0.500
Na4 0.500 0.500 0.500
Yb1 0.224 0.250 0.497
Yb2 0.276 0.750 0.997
Yb3 0.724 0.250 0.003
Yb4 0.776 0.750 0.503
Ge1 0.097 0.750 0.552
Ge2 0.403 0.250 0.052
Ge3 0.597 0.750 0.948
Ge4 0.903 0.250 0.448
O1 0.046 0.250 0.326
O2 0.108 0.750 0.226
O3 0.173 0.542 0.707
O4 0.173 0.958 0.707
O5 0.327 0.042 0.207
O6 0.327 0.458 0.207
O7 0.392 0.250 0.726
O8 0.454 0.750 0.826
O9 0.546 0.250 0.174
O10 0.608 0.750 0.274
O11 0.673 0.542 0.793
O12 0.673 0.958 0.793
O13 0.827 0.042 0.293
O14 0.827 0.458 0.293
O15 0.892 0.250 0.774
O16 0.954 0.750 0.674

***

[2]
Starting from the PBE geometry in Alexandria, the X-ray diffraction stick pattern of LiAc2In12 was computed for λ = 1.5418 Å (Cu Kα).

Most intense lines, 5° ≤ 2θ ≤ 70°, low angle first:
d (Å)  I_rel
3.252  35
3.225  100
2.712  17
2.493  40
2.456  61
1.960  21

Cell and atoms:
a = 6.947 Å, b = 6.947 Å, c = 17.359 Å
α = 90.00°, β = 90.00°, γ = 90.00°
Positions (direct):
Li1 0.250 0.750 0.000
Li2 0.750 0.250 0.000
Ac1 0.250 0.750 0.244
Ac2 0.250 0.750 0.756
Ac3 0.750 0.250 0.244
Ac4 0.750 0.250 0.756
In1 0.001 0.501 0.085
In2 0.001 0.999 0.915
In3 0.085 0.585 0.570
In4 0.085 0.915 0.430
In5 0.250 0.250 0.182
In6 0.250 0.250 0.343
In7 0.250 0.250 0.657
In8 0.250 0.250 0.818
In9 0.415 0.585 0.430
In10 0.415 0.915 0.570
In11 0.499 0.501 0.915
In12 0.499 0.999 0.085
In13 0.501 0.001 0.915
In14 0.501 0.499 0.085
In15 0.585 0.085 0.430
In16 0.585 0.415 0.570
In17 0.750 0.750 0.182
In18 0.750 0.750 0.343
In19 0.750 0.750 0.657
In20 0.750 0.750 0.818
In21 0.915 0.085 0.570
In22 0.915 0.415 0.430
In23 0.999 0.001 0.085
In24 0.999 0.499 0.915

***

[3]
Starting from the PBE geometry in Alexandria, the X-ray diffraction stick pattern of Pm5Dy12Er was computed for λ = 1.5418 Å (Cu Kα).

Most intense lines, 5° ≤ 2θ ≤ 70°, low angle first:
d (Å)  I_rel
2.863  55
2.856  14
2.820  100
2.024  17
1.645  29
1.620  12

Cell and atoms:
a = 10.409 Å, b = 10.409 Å, c = 5.731 Å
α = 90.00°, β = 90.00°, γ = 111.00°
Positions (direct):
Pm1 0.000 0.000 0.000
Pm2 0.138 0.862 0.500
Pm3 0.364 0.636 0.000
Pm4 0.636 0.364 0.000
Pm5 0.862 0.138 0.500
Dy1 0.027 0.667 0.000
Dy2 0.167 0.524 0.500
Dy3 0.202 0.202 0.500
Dy4 0.301 0.301 0.000
Dy5 0.333 0.973 0.000
Dy6 0.476 0.833 0.500
Dy7 0.524 0.167 0.500
Dy8 0.667 0.027 0.000
Dy9 0.699 0.699 0.000
Dy10 0.798 0.798 0.500
Dy11 0.833 0.476 0.500
Dy12 0.973 0.333 0.000
Er1 0.500 0.500 0.500

***

[4]
Starting from the PBE geometry in Alexandria, the X-ray diffraction stick pattern of NaCaTmCd was computed for λ = 1.5418 Å (Cu Kα).

Most intense lines, 5° ≤ 2θ ≤ 70°, low angle first:
d (Å)  I_rel
4.454  44
2.728  100
2.326  25
1.929  18
1.770  11
1.575  36

Cell and atoms:
a = 5.455 Å, b = 5.455 Å, c = 5.455 Å
α = 60.00°, β = 60.00°, γ = 60.00°
Positions (direct):
Na1 0.000 0.000 0.000
Ca1 0.250 0.250 0.250
Tm1 0.750 0.750 0.750
Cd1 0.500 0.500 0.500

***

[5]
Starting from the PBE geometry in Alexandria, the X-ray diffraction stick pattern of NaErS2O8 was computed for λ = 1.5418 Å (Cu Kα).

Most intense lines, 5° ≤ 2θ ≤ 70°, low angle first:
d (Å)  I_rel
9.810  39
5.638  100
3.744  27
3.629  72
3.444  62
2.899  53

Cell and atoms:
a = 4.733 Å, b = 6.889 Å, c = 9.890 Å
α = 90.00°, β = 97.29°, γ = 90.00°
Positions (direct):
Na1 0.120 0.250 0.360
Na2 0.880 0.750 0.640
Er1 0.150 0.250 0.825
Er2 0.850 0.750 0.175
S1 0.334 0.750 0.398
S2 0.355 0.750 0.929
S3 0.645 0.250 0.071
S4 0.666 0.250 0.602
O1 0.176 0.579 0.330
O2 0.176 0.921 0.330
O3 0.238 0.576 0.854
O4 0.238 0.924 0.854
O5 0.277 0.750 0.072
O6 0.328 0.250 0.056
O7 0.336 0.750 0.546
O8 0.367 0.250 0.635
O9 0.633 0.750 0.365
O10 0.664 0.250 0.454
O11 0.672 0.750 0.944
O12 0.723 0.250 0.928
O13 0.762 0.076 0.146
O14 0.762 0.424 0.146
O15 0.824 0.079 0.670
O16 0.824 0.421 0.670

***

[6]
Starting from the PBE geometry in Alexandria, the X-ray diffraction stick pattern of Ga2FeTcPt was computed for λ = 1.5418 Å (Cu Kα).

Most intense lines, 5° ≤ 2θ ≤ 70°, low angle first:
d (Å)  I_rel
4.478  29
2.643  100
2.400  33
2.239  54
1.637  40
1.358  25

Cell and atoms:
a = 4.478 Å, b = 4.478 Å, c = 4.799 Å
α = 90.00°, β = 90.00°, γ = 90.00°
Positions (direct):
Ga1 0.000 0.500 0.000
Ga2 0.500 0.000 0.000
Fe1 0.000 0.000 0.000
Tc1 0.500 0.500 0.500
Pt1 0.000 0.000 0.500

***

[7]
Starting from the PBE geometry in Alexandria, the X-ray diffraction stick pattern of LaFe2H7 was computed for λ = 1.5418 Å (Cu Kα).

Most intense lines, 5° ≤ 2θ ≤ 70°, low angle first:
d (Å)  I_rel
4.313  26
2.750  100
2.494  22
2.486  39
1.847  26
1.451  21

Cell and atoms:
a = 4.971 Å, b = 4.971 Å, c = 3.572 Å
α = 90.00°, β = 90.00°, γ = 119.78°
Positions (direct):
La1 0.000 0.000 0.000
Fe1 0.310 0.690 0.500
Fe2 0.690 0.310 0.500
H1 0.033 0.332 0.500
H2 0.314 0.686 0.000
H3 0.332 0.033 0.500
H4 0.500 0.500 0.500
H5 0.668 0.967 0.500
H6 0.686 0.314 0.000
H7 0.967 0.668 0.500

***

[8]
Starting from the PBE geometry in Alexandria, the X-ray diffraction stick pattern of Ba4SrPt was computed for λ = 1.5418 Å (Cu Kα).

Most intense lines, 5° ≤ 2θ ≤ 70°, low angle first:
d (Å)  I_rel
7.004  90
3.502  97
3.267  100
2.876  75
2.388  79
2.159  75

Cell and atoms:
a = 11.735 Å, b = 11.735 Å, c = 8.940 Å
α = 90.00°, β = 90.00°, γ = 147.67°
Positions (direct):
Ba1 0.000 0.000 0.000
Ba2 0.000 0.000 0.500
Ba3 0.193 0.807 0.504
Ba4 0.193 0.807 0.998
Ba5 0.398 0.602 0.251
Ba6 0.602 0.398 0.751
Ba7 0.807 0.193 0.004
Ba8 0.807 0.193 0.498
Sr1 0.391 0.609 0.751
Sr2 0.609 0.391 0.251
Pt1 0.099 0.901 0.750
Pt2 0.901 0.099 0.250

***

[9]
Starting from the PBE geometry in Alexandria, the X-ray diffraction stick pattern of TlAs2Se4 was computed for λ = 1.5418 Å (Cu Kα).

Most intense lines, 5° ≤ 2θ ≤ 70°, low angle first:
d (Å)  I_rel
3.754  29
3.047  50
2.892  39
2.830  100
2.217  30
1.955  38

Cell and atoms:
a = 6.778 Å, b = 6.778 Å, c = 13.800 Å
α = 90.00°, β = 90.00°, γ = 146.69°
Positions (direct):
Tl1 0.085 0.915 0.750
Tl2 0.915 0.085 0.250
As1 0.361 0.639 0.559
As2 0.361 0.639 0.941
As3 0.639 0.361 0.059
As4 0.639 0.361 0.441
Se1 0.000 0.000 0.000
Se2 0.000 0.000 0.500
Se3 0.269 0.731 0.112
Se4 0.269 0.731 0.388
Se5 0.423 0.577 0.750
Se6 0.577 0.423 0.250
Se7 0.731 0.269 0.612
Se8 0.731 0.269 0.888

***

[10]
Starting from the PBE geometry in Alexandria, the X-ray diffraction stick pattern of CeTm3In2 was computed for λ = 1.5418 Å (Cu Kα).

Most intense lines, 5° ≤ 2θ ≤ 70°, low angle first:
d (Å)  I_rel
2.782  27
2.678  27
2.639  100
1.929  19
1.577  17
1.539  19

Cell and atoms:
a = 5.357 Å, b = 3.618 Å, c = 8.760 Å
α = 90.00°, β = 107.71°, γ = 90.00°
Positions (direct):
Ce1 0.000 0.000 0.000
Tm1 0.176 0.500 0.353
Tm2 0.500 0.500 0.000
Tm3 0.824 0.500 0.647
In1 0.344 0.000 0.688
In2 0.656 0.000 0.312

***

Repeat the tenth record exactly.
Starting from the PBE geometry in Alexandria, the X-ray diffraction stick pattern of CeTm3In2 was computed for λ = 1.5418 Å (Cu Kα).

Most intense lines, 5° ≤ 2θ ≤ 70°, low angle first:
d (Å)  I_rel
2.782  27
2.678  27
2.639  100
1.929  19
1.577  17
1.539  19

Cell and atoms:
a = 5.357 Å, b = 3.618 Å, c = 8.760 Å
α = 90.00°, β = 107.71°, γ = 90.00°
Positions (direct):
Ce1 0.000 0.000 0.000
Tm1 0.176 0.500 0.353
Tm2 0.500 0.500 0.000
Tm3 0.824 0.500 0.647
In1 0.344 0.000 0.688
In2 0.656 0.000 0.312